# 1
# PmTa3
Simulated X-ray powder pattern, Cu Ka. Input: a GGA-PBE-relaxed structure.
No peak broadening, texture or thermal motion is included.

Largest 5 diffraction maxima, by intensity, 10° ≤ 2θ ≤ 90°:
two_theta, I_rel
36.73, 100
66.15, 36
52.92, 18
89.59, 17
78.13, 11

Cell and atoms:
```
16
Lattice="6.9202 0.0000 0.0000 0.0000 6.9202 0.0000 0.0000 0.0000 6.9202" Properties=species:S:1:pos:R:3 pbc="T T T"
Pm 0.0000 0.0000 0.0000
Pm 0.0000 3.4601 3.4601
Pm 3.4601 0.0000 3.4601
Pm 3.4601 3.4601 0.0000
Ta 0.0000 0.0000 3.4601
Ta 0.0000 3.4601 0.0000
Ta 1.7300 1.7300 1.7300
Ta 1.7300 1.7300 5.1901
Ta 1.7300 5.1901 1.7300
Ta 1.7300 5.1901 5.1901
Ta 3.4601 0.0000 0.0000
Ta 3.4601 3.4601 3.4601
Ta 5.1901 1.7300 1.7300
Ta 5.1901 1.7300 5.1901
Ta 5.1901 5.1901 1.7300
Ta 5.1901 5.1901 5.1901
```

# 2
# PdPb3
Simulated X-ray powder pattern, Cu Ka. Input: a GGA-PBE-relaxed structure.
No peak broadening, texture or thermal motion is included.

Largest 10 diffraction maxima, by intensity, 10° ≤ 2θ ≤ 90°:
two_theta, I_rel
32.83, 100
37.39, 35
64.58, 29
55.47, 23
39.44, 15
67.36, 13
53.92, 13
68.82, 12
88.95, 7
20.87, 5

Cell and atoms:
```
8
Lattice="4.8099 0.0000 0.0000 0.0000 4.8099 0.0000 0.0000 0.0000 9.1390" Properties=species:S:1:pos:R:3 pbc="T T T"
Pd 0.0000 0.0000 0.0000
Pd 2.4050 2.4050 4.5695
Pb 0.0000 0.0000 4.5695
Pb 0.0000 2.4050 2.2848
Pb 0.0000 2.4050 6.8543
Pb 2.4050 0.0000 2.2848
Pb 2.4050 0.0000 6.8543
Pb 2.4050 2.4050 0.0000
```

# 3
# TiAlO3
Simulated X-ray powder pattern, Cu Ka. Input: a GGA-PBE-relaxed structure.
No peak broadening, texture or thermal motion is included.

Largest 10 diffraction maxima, by intensity, 10° ≤ 2θ ≤ 90°:
two_theta, I_rel
33.22, 100
54.30, 94
41.44, 68
36.39, 63
24.44, 59
65.47, 48
50.09, 42
63.47, 35
71.36, 18
86.75, 10

Cell and atoms:
```
10
Lattice="2.4692 1.4256 4.6327 -2.4692 1.4256 4.6327 0.0000 -2.8512 4.6327" Properties=species:S:1:pos:R:3 pbc="T T T"
Ti 0.0000 0.0000 2.0710
Ti 0.0000 0.0000 11.8272
Al 0.0000 0.0000 4.8479
Al 0.0000 0.0000 9.0503
O -0.9522 -1.3549 5.7278
O -1.6494 0.1472 8.1704
O -0.6973 1.5020 5.7278
O 0.6972 -1.5020 8.1704
O 1.6494 -0.1472 5.7278
O 0.9522 1.3548 8.1704
```

# 4
# GdSeClO3
Simulated X-ray powder pattern, Cu Ka. Input: a GGA-PBE-relaxed structure.
No peak broadening, texture or thermal motion is included.

Largest 10 diffraction maxima, by intensity, 10° ≤ 2θ ≤ 90°:
two_theta, I_rel
25.01, 100
15.55, 99
23.20, 67
27.24, 50
40.10, 48
33.89, 46
29.03, 40
41.24, 34
19.78, 33
32.28, 29

Cell and atoms:
```
24
Lattice="7.3717 0.0000 0.0000 0.0000 7.1222 0.0000 0.0000 0.0000 8.9791" Properties=species:S:1:pos:R:3 pbc="T T T"
Gd 0.7975 1.7806 0.3568
Gd 2.8883 5.3417 4.8463
Gd 4.4834 1.7806 4.1328
Gd 6.5741 5.3417 8.6223
Se 1.5531 1.7806 5.6742
Se 2.1327 5.3417 1.1847
Se 5.2390 1.7806 7.7944
Se 5.8186 5.3417 3.3049
Cl 0.3992 5.3417 6.1163
Cl 3.2866 1.7806 1.6268
Cl 4.0851 5.3417 7.3523
Cl 6.9724 1.7806 2.8628
O 1.0531 4.0878 0.6052
O 1.0531 6.5955 0.6052
O 1.8257 5.3417 2.8593
O 1.8601 1.7806 7.3488
O 2.6327 0.5267 5.0948
O 2.6327 3.0344 5.0948
O 4.7390 4.0878 3.8843
O 4.7390 6.5955 3.8843
O 5.5115 5.3417 1.6303
O 5.5460 1.7806 6.1198
O 6.3185 0.5267 8.3738
O 6.3185 3.0344 8.3738
```

# 5
# BaZnSe2O6
Simulated X-ray powder pattern, Cu Ka. Input: a GGA-PBE-relaxed structure.
No peak broadening, texture or thermal motion is included.

Largest 10 diffraction maxima, by intensity, 10° ≤ 2θ ≤ 90°:
two_theta, I_rel
24.93, 100
24.14, 42
29.49, 33
20.75, 25
24.59, 22
26.58, 21
33.89, 18
37.15, 17
20.06, 17
38.42, 16

Cell and atoms:
```
40
Lattice="5.6176 0.0000 0.0000 0.0000 14.5255 0.0000 -3.3250 0.0000 9.2962" Properties=species:S:1:pos:R:3 pbc="T T T"
Ba -0.0755 3.4413 3.2366
Ba -1.7380 3.8215 7.8847
Ba 4.0306 10.7040 1.4116
Ba 2.3681 11.0842 6.0597
Zn -0.2432 8.3673 4.7144
Zn 1.4193 13.4209 0.0663
Zn 0.8733 1.1045 9.2299
Zn 2.5358 6.1582 4.5818
Se -0.8438 9.1525 7.7204
Se 0.8187 12.6357 3.0723
Se 1.2235 7.8490 2.0002
Se -0.4390 13.9392 6.6484
Se 2.7316 0.5863 2.6479
Se 1.0691 6.6764 7.2960
Se 1.4739 1.8898 6.2239
Se 3.1364 5.3730 1.5758
O -0.2493 8.4107 2.7596
O -1.9118 13.3775 7.4077
O -1.1061 9.5211 5.9539
O 0.5564 12.2671 1.3058
O 1.5408 0.8093 0.9051
O -0.1217 6.4535 5.5532
O -0.1328 2.5319 5.8768
O 1.5296 4.7309 1.2287
O 1.7504 9.2218 1.2002
O 0.0880 12.5664 5.8483
O -1.0717 1.5291 9.1641
O 0.5908 5.7336 4.5160
O 1.7018 8.7919 4.7803
O 3.3643 12.9964 0.1321
O 2.2047 1.9591 3.4480
O 0.5422 5.3037 8.0961
O 0.7630 9.7946 8.0676
O 2.4255 11.9936 3.4194
O 2.4143 8.0720 3.7430
O 0.7519 13.7162 8.3912
O 1.7362 2.2584 7.9904
O 3.3987 5.0043 3.3423
O 4.2044 1.1480 1.8885
O 2.5419 6.1148 6.5366
```

# 6
# NaTmS2
Simulated X-ray powder pattern, Cu Ka. Input: a GGA-PBE-relaxed structure.
No peak broadening, texture or thermal motion is included.

Largest 10 diffraction maxima, by intensity, 10° ≤ 2θ ≤ 90°:
two_theta, I_rel
31.79, 100
13.27, 94
26.56, 46
44.95, 36
46.18, 35
27.68, 33
48.27, 22
41.22, 21
34.58, 19
54.12, 19

Cell and atoms:
```
12
Lattice="3.9313 0.0000 0.0000 -1.9657 3.4046 0.0000 0.0000 0.0000 20.0231" Properties=species:S:1:pos:R:3 pbc="T T T"
Na 0.0000 0.0000 0.0000
Na 0.0000 2.2697 13.3487
Na 1.9657 1.1349 6.6744
Tm 0.0000 0.0000 10.0115
Tm 0.0000 2.2697 3.3372
Tm 1.9657 1.1349 16.6859
S 0.0000 0.0000 4.8317
S 0.0000 0.0000 15.1913
S 0.0000 2.2697 8.5170
S 0.0000 2.2697 18.1805
S 1.9657 1.1349 1.8426
S 1.9657 1.1349 11.5061
```

# 7
# Na3IrF6
Simulated X-ray powder pattern, Cu Ka. Input: a GGA-PBE-relaxed structure.
No peak broadening, texture or thermal motion is included.

Largest 10 diffraction maxima, by intensity, 10° ≤ 2θ ≤ 90°:
two_theta, I_rel
18.30, 100
21.16, 78
30.11, 77
35.46, 53
43.10, 41
48.49, 34
53.47, 32
62.59, 24
47.19, 22
56.99, 21

Cell and atoms:
```
10
Lattice="0.0000 4.1979 4.1979 4.1979 0.0000 4.1979 4.1979 4.1979 0.0000" Properties=species:S:1:pos:R:3 pbc="T T T"
Na 0.0000 0.0000 0.0000
Na 2.0990 2.0990 2.0990
Na 6.2969 6.2969 6.2969
Ir 4.1979 4.1979 4.1979
F 4.1979 4.1979 2.1769
F 4.1979 2.1769 4.1979
F 6.2190 4.1979 4.1979
F 2.1769 4.1979 4.1979
F 4.1979 6.2190 4.1979
F 4.1979 4.1979 6.2190
```